Entry 1:
Theoretical powder diffraction line list of Rb2GaSnCl5 for CuKα, from a DFT-relaxed cell (PBE, Alexandria).

Structure:
```
data_Rb2GaSnCl5
_chemical_formula_sum 'Rb8 Ga4 Sn4 Cl20'
_space_group_name_H-M_alt 'C m c 21'
_space_group_IT_number 36
_space_group_name_Hall 'C 2c -2'
_cell_length_a 4.438
_cell_length_b 18.830
_cell_length_c 14.769
_cell_angle_alpha 90.00
_cell_angle_beta 90.00
_cell_angle_gamma 90.00
loop_
_atom_site_label
_atom_site_type_symbol
_atom_site_fract_x
_atom_site_fract_y
_atom_site_fract_z
Rb1 Rb 0.000 0.086 0.000
Rb2 Rb 0.000 0.136 0.645
Ga1 Ga 0.000 0.464 0.793
Sn1 Sn 0.000 0.224 0.374
Cl1 Cl 0.000 0.083 0.416
Cl2 Cl 0.000 0.262 0.006
Cl3 Cl 0.000 0.300 0.751
Cl4 Cl 0.000 0.378 0.332
Cl5 Cl 0.000 0.499 0.117
```

The 8 most intense peaks (5° ≤ 2θ ≤ 70°), low angle first:
- (0 2 3), d 4.363, 20.4 deg, I 37
- (1 1 2), d 3.729, 23.9 deg, I 48
- (1 3 0), d 3.624, 24.6 deg, I 24
- (1 1 3), d 3.247, 27.5 deg, I 100
- (0 6 1), d 3.070, 29.1 deg, I 46
- (0 6 2), d 2.888, 31.0 deg, I 25
- (1 1 5), d 2.438, 36.9 deg, I 25
- (2 0 0), d 2.219, 40.7 deg, I 33



Entry 2:
Theoretical powder diffraction line list of RbThGa2Cl8 for CuKα, from a DFT-relaxed cell (PBE, Alexandria).

Structure:
```
data_RbThGa2Cl8
_chemical_formula_sum 'Rb1 Th1 Ga2 Cl8'
_space_group_name_H-M_alt 'P -1'
_space_group_IT_number 2
_space_group_name_Hall '-P 1'
_cell_length_a 6.753
_cell_length_b 6.857
_cell_length_c 9.244
_cell_angle_alpha 85.64
_cell_angle_beta 84.61
_cell_angle_gamma 86.28
loop_
_atom_site_label
_atom_site_type_symbol
_atom_site_fract_x
_atom_site_fract_y
_atom_site_fract_z
Rb1 Rb 0.000 0.000 0.000
Th1 Th 0.000 0.000 0.500
Ga1 Ga 0.475 0.481 0.218
Cl1 Cl 0.217 0.816 0.708
Cl2 Cl 0.231 0.827 0.282
Cl3 Cl 0.244 0.294 0.475
Cl4 Cl 0.315 0.358 0.009
```

The 8 most intense peaks (5° ≤ 2θ ≤ 70°), low angle first:
- (0 0 1), d 9.180, 9.6 deg, I 31
- (1 0 1), d 5.669, 15.6 deg, I 67
- (1 1 0), d 4.931, 18.0 deg, I 100
- (1 -1 0), d 4.652, 19.1 deg, I 84
- (1 0 2), d 3.957, 22.5 deg, I 38
- (1 0 -2), d 3.640, 24.5 deg, I 32
- (2 -1 2), d 2.536, 35.4 deg, I 31
- (2 2 0), d 2.463, 36.5 deg, I 41



Entry 3:
Theoretical powder diffraction line list of GaTcRh2Cl for CuKα, from a DFT-relaxed cell (PBE, Alexandria).

Structure:
```
data_GaTcRh2Cl
_chemical_formula_sum 'Ga1 Tc1 Rh2 Cl1'
_space_group_name_H-M_alt 'P 4/m m m'
_space_group_IT_number 123
_space_group_name_Hall '-P 4 2'
_cell_length_a 4.636
_cell_length_b 4.636
_cell_length_c 4.897
_cell_angle_alpha 90.00
_cell_angle_beta 90.00
_cell_angle_gamma 90.00
loop_
_atom_site_label
_atom_site_type_symbol
_atom_site_fract_x
_atom_site_fract_y
_atom_site_fract_z
Ga1 Ga 0.000 0.000 0.000
Tc1 Tc 0.000 0.000 0.500
Rh1 Rh 0.000 0.500 0.000
Cl1 Cl 0.500 0.500 0.500
```

The 8 most intense peaks (5° ≤ 2θ ≤ 70°), low angle first:
- (0 0 1), d 4.897, 18.1 deg, I 31
- (1 0 0), d 4.636, 19.1 deg, I 48
- (1 1 1), d 2.724, 32.9 deg, I 100
- (0 0 2), d 2.449, 36.7 deg, I 43
- (2 0 0), d 2.318, 38.9 deg, I 74
- (2 0 2), d 1.683, 54.5 deg, I 53
- (2 2 0), d 1.639, 56.1 deg, I 24
- (2 2 2), d 1.362, 68.9 deg, I 26



Entry 4:
Theoretical powder diffraction line list of GaS2Cl6 for CuKα, from a DFT-relaxed cell (PBE, Alexandria).

Structure:
```
data_GaS2Cl6
_chemical_formula_sum 'Ga1 S2 Cl6'
_space_group_name_H-M_alt 'P -1'
_space_group_IT_number 2
_space_group_name_Hall '-P 1'
_cell_length_a 3.594
_cell_length_b 7.776
_cell_length_c 9.258
_cell_angle_alpha 71.33
_cell_angle_beta 79.15
_cell_angle_gamma 76.98
loop_
_atom_site_label
_atom_site_type_symbol
_atom_site_fract_x
_atom_site_fract_y
_atom_site_fract_z
Ga1 Ga 0.000 0.000 0.000
S1 S 0.466 0.451 0.618
Cl1 Cl 0.103 0.047 0.739
Cl2 Cl 0.322 0.697 0.664
Cl3 Cl 0.400 0.233 0.973
```

The 8 most intense peaks (5° ≤ 2θ ≤ 70°), low angle first:
- (0 0 1), d 8.701, 10.2 deg, I 28
- (0 1 1), d 6.589, 13.4 deg, I 100
- (0 1 -1), d 4.913, 18.1 deg, I 72
- (1 1 0), d 3.375, 26.4 deg, I 97
- (1 -1 0), d 2.937, 30.4 deg, I 32
- (1 2 1), d 2.920, 30.6 deg, I 31
- (0 0 3), d 2.901, 30.8 deg, I 72
- (0 1 4), d 2.275, 39.6 deg, I 32



Entry 5:
Theoretical powder diffraction line list of Ga2S2Cl for CuKα, from a DFT-relaxed cell (PBE, Alexandria).

Structure:
```
data_Ga2S2Cl
_chemical_formula_sum 'Ga8 S8 Cl4'
_space_group_name_H-M_alt 'I 41 m d'
_space_group_IT_number 109
_space_group_name_Hall 'I 4bw -2'
_cell_length_a 7.629
_cell_length_b 7.629
_cell_length_c 9.954
_cell_angle_alpha 90.00
_cell_angle_beta 90.00
_cell_angle_gamma 90.00
loop_
_atom_site_label
_atom_site_type_symbol
_atom_site_fract_x
_atom_site_fract_y
_atom_site_fract_z
Ga1 Ga 0.000 0.295 0.000
S1 S 0.000 0.235 0.768
Cl1 Cl 0.000 0.000 0.092
```

The 8 most intense peaks (5° ≤ 2θ ≤ 70°), low angle first:
- (1 0 1), d 6.055, 14.6 deg, I 100
- (2 1 1), d 3.228, 27.6 deg, I 25
- (1 0 3), d 3.043, 29.4 deg, I 27
- (2 2 0), d 2.697, 33.2 deg, I 19
- (0 0 4), d 2.489, 36.1 deg, I 12
- (3 2 1), d 2.070, 43.7 deg, I 25
- (4 0 0), d 1.907, 47.7 deg, I 11
- (2 2 4), d 1.829, 49.9 deg, I 21



Entry 6:
Theoretical powder diffraction line list of GaS3Cl for CuKα, from a DFT-relaxed cell (PBE, Alexandria).

Structure:
```
data_GaS3Cl
_chemical_formula_sum 'Ga1 S3 Cl1'
_space_group_name_H-M_alt 'P 1'
_space_group_IT_number 1
_space_group_name_Hall 'P 1'
_cell_length_a 3.824
_cell_length_b 5.780
_cell_length_c 7.261
_cell_angle_alpha 75.05
_cell_angle_beta 88.22
_cell_angle_gamma 75.42
loop_
_atom_site_label
_atom_site_type_symbol
_atom_site_fract_x
_atom_site_fract_y
_atom_site_fract_z
Ga1 Ga 0.000 0.000 0.000
S1 S 0.589 0.729 0.009
S2 S 0.637 0.306 0.771
S3 S 0.743 0.639 0.750
Cl1 Cl 0.044 0.064 0.279
```

The 8 most intense peaks (5° ≤ 2θ ≤ 70°), low angle first:
- (0 0 1), d 7.011, 12.6 deg, I 100
- (0 1 0), d 5.404, 16.4 deg, I 22
- (0 1 -1), d 3.828, 23.2 deg, I 29
- (1 1 0), d 3.490, 25.5 deg, I 21
- (0 1 2), d 3.365, 26.5 deg, I 16
- (1 0 -1), d 3.321, 26.8 deg, I 23
- (1 -1 0), d 2.746, 32.6 deg, I 16
- (1 2 0), d 2.503, 35.9 deg, I 20



Entry 7:
Theoretical powder diffraction line list of ScGaCl4 for CuKα, from a DFT-relaxed cell (PBE, Alexandria).

Structure:
```
data_ScGaCl4
_chemical_formula_sum 'Sc2 Ga2 Cl8'
_space_group_name_H-M_alt 'C 1 2/m 1'
_space_group_IT_number 12
_space_group_name_Hall '-C 2y'
_cell_length_a 14.580
_cell_length_b 3.825
_cell_length_c 7.537
_cell_angle_alpha 90.00
_cell_angle_beta 119.06
_cell_angle_gamma 90.00
loop_
_atom_site_label
_atom_site_type_symbol
_atom_site_fract_x
_atom_site_fract_y
_atom_site_fract_z
Sc1 Sc 0.000 0.000 0.000
Ga1 Ga 0.000 0.500 0.500
Cl1 Cl 0.108 0.000 0.834
Cl2 Cl 0.110 0.500 0.234
```

The 8 most intense peaks (5° ≤ 2θ ≤ 70°), low angle first:
- (2 0 0), d 6.372, 13.9 deg, I 100
- (4 0 -2), d 3.193, 27.9 deg, I 33
- (1 1 1), d 3.027, 29.5 deg, I 75
- (2 0 2), d 2.478, 36.3 deg, I 14
- (6 0 -2), d 2.390, 37.6 deg, I 18
- (3 1 1), d 2.347, 38.3 deg, I 34
- (3 1 -3), d 2.099, 43.1 deg, I 19
- (7 1 -1), d 1.790, 51.0 deg, I 18



Entry 8:
Theoretical powder diffraction line list of ScTl2GaCl6 for CuKα, from a DFT-relaxed cell (PBE, Alexandria).

Structure:
```
data_ScTl2GaCl6
_chemical_formula_sum 'Sc3 Tl6 Ga3 Cl18'
_space_group_name_H-M_alt 'R 3'
_space_group_IT_number 146
_space_group_name_Hall 'R 3'
_cell_length_a 7.5751
_cell_length_b 7.5751
_cell_length_c 18.5838
_cell_angle_alpha 90.00
_cell_angle_beta 90.00
_cell_angle_gamma 120.00
loop_
_atom_site_label
_atom_site_type_symbol
_atom_site_fract_x
_atom_site_fract_y
_atom_site_fract_z
Sc1 Sc 0.0000 0.0000 0.0000
Tl1 Tl 0.0000 0.0000 0.2839
Tl2 Tl 0.0000 0.0000 0.7777
Ga1 Ga 0.0000 0.0000 0.5066
Cl1 Cl 0.0279 0.4370 0.7401
Cl2 Cl 0.1049 0.7316 0.5843
```

The 8 most intense peaks (5° ≤ 2θ ≤ 70°), low angle first:
- (0 1 2), d 5.359, 16.5 deg, I 32
- (1 0 4), d 3.790, 23.5 deg, I 100
- (2 0 2), d 3.094, 28.9 deg, I 35
- (0 2 4), d 2.680, 33.4 deg, I 38
- (2 -1 6), d 2.397, 37.5 deg, I 31
- (3 0 0), d 2.188, 41.3 deg, I 57
- (1 3 4), d 1.695, 54.1 deg, I 21
- (3 2 4), d 1.432, 65.1 deg, I 29



Entry 9:
Theoretical powder diffraction line list of Ga2Se2Cl for CuKα, from a DFT-relaxed cell (PBE, Alexandria).

Structure:
```
data_Ga2Se2Cl
_chemical_formula_sum 'Ga8 Se8 Cl4'
_space_group_name_H-M_alt 'I 41 m d'
_space_group_IT_number 109
_space_group_name_Hall 'I 4bw -2'
_cell_length_a 7.771
_cell_length_b 7.771
_cell_length_c 10.808
_cell_angle_alpha 90.00
_cell_angle_beta 90.00
_cell_angle_gamma 90.00
loop_
_atom_site_label
_atom_site_type_symbol
_atom_site_fract_x
_atom_site_fract_y
_atom_site_fract_z
Ga1 Ga 0.000 0.293 0.000
Se1 Se 0.000 0.249 0.771
Cl1 Cl 0.000 0.000 0.081
```

The 8 most intense peaks (5° ≤ 2θ ≤ 70°), low angle first:
- (1 0 1), d 6.309, 14.0 deg, I 100
- (2 1 1), d 3.308, 26.9 deg, I 36
- (1 0 3), d 3.269, 27.3 deg, I 24
- (2 2 0), d 2.747, 32.6 deg, I 29
- (0 0 4), d 2.702, 33.2 deg, I 19
- (3 2 1), d 2.114, 42.8 deg, I 25
- (4 0 0), d 1.943, 46.8 deg, I 15
- (2 2 4), d 1.926, 47.2 deg, I 26



Entry 10:
Theoretical powder diffraction line list of ZnGaSeCl2 for CuKα, from a DFT-relaxed cell (PBE, Alexandria).

Structure:
```
data_ZnGaSeCl2
_chemical_formula_sum 'Zn1 Ga1 Se1 Cl2'
_space_group_name_H-M_alt 'P 4/m m m'
_space_group_IT_number 123
_space_group_name_Hall '-P 4 2'
_cell_length_a 4.734
_cell_length_b 4.734
_cell_length_c 5.305
_cell_angle_alpha 90.00
_cell_angle_beta 90.00
_cell_angle_gamma 90.00
loop_
_atom_site_label
_atom_site_type_symbol
_atom_site_fract_x
_atom_site_fract_y
_atom_site_fract_z
Zn1 Zn 0.000 0.000 0.000
Ga1 Ga 0.500 0.500 0.500
Se1 Se 0.500 0.500 0.000
Cl1 Cl 0.000 0.500 0.500
```

The 8 most intense peaks (5° ≤ 2θ ≤ 70°), low angle first:
- (1 0 0), d 4.734, 18.7 deg, I 47
- (1 1 0), d 3.347, 26.6 deg, I 67
- (1 1 1), d 2.831, 31.6 deg, I 86
- (0 0 2), d 2.653, 33.8 deg, I 70
- (2 0 0), d 2.367, 38.0 deg, I 100
- (1 1 2), d 2.079, 43.5 deg, I 38
- (2 0 2), d 1.766, 51.8 deg, I 78
- (2 2 2), d 1.415, 66.0 deg, I 36